Entry 1:
Calculated powder XRD pattern of Ca2InOsO6 for Cu Kα, from a crystal structure in the Materials Project, relaxed with GGA-PBE.
Lines closer than 0.1° are merged.

Structure:
Cell lengths 5.543, 5.758, 9.649 Å; angles 90.00, 124.49, 90.00 degrees
Space group P2_1/c (No. 14)
Unique sites:
Ca1 0.232 0.058 0.249 [4 per cell]
In1 0.500 0.000 0.000 [2 per cell]
Os1 0.000 0.000 0.500 [2 per cell]
O1 0.123 0.212 0.941 [4 per cell]
O2 0.233 0.690 0.943 [4 per cell]
O3 0.347 0.040 0.737 [4 per cell]

Main lines, low angle first (2θ from 15° to 90°):
- (1 1 -1), 2θ = 22.29°, I = 1000
- (0 2 0), 2θ = 31.07°, I = 297
- (1 1 1), 2θ = 31.64°, I = 601
- (1 1 -3), 2θ = 31.87°, I = 594
- (2 0 -2), 2θ = 32.30°, I = 266
- (2 2 -2), 2θ = 45.43°, I = 293
- (0 0 4), 2θ = 45.63°, I = 156
- (1 3 -1), 2θ = 50.31°, I = 117
- (1 3 -3), 2θ = 55.78°, I = 113
- (0 2 4), 2θ = 56.23°, I = 137
- (3 1 -1), 2θ = 57.04°, I = 136
- (3 1 -5), 2θ = 57.48°, I = 144

---

Entry 2:
Calculated powder XRD pattern of MgSi for Cu Kα, from a crystal structure in the Materials Project, relaxed with GGA-PBE.
Lines closer than 0.1° are merged.

Structure:
Cell lengths 5.560, 5.935, 13.817 Å; angles 82.20, 85.30, 89.50 degrees
Space group P1 (No. 1)
Unique sites:
Mg1 0.000 0.000 0.000 [1 per cell]
Mg2 0.020 0.487 0.339 [1 per cell]
Mg3 0.196 0.988 0.326 [1 per cell]
Mg4 0.281 0.753 0.528 [1 per cell]
Mg5 0.313 0.213 0.662 [1 per cell]
Mg6 0.418 0.943 0.852 [1 per cell]
Mg7 0.545 0.440 0.860 [1 per cell]
Mg8 0.578 0.416 0.195 [1 per cell]
Mg9 0.719 0.916 0.195 [1 per cell]
Mg10 0.751 0.689 0.662 [1 per cell]
Mg11 0.841 0.232 0.532 [1 per cell]
Mg12 0.904 0.499 0.003 [1 per cell]
Si1 0.060 0.323 0.830 [1 per cell]
Si2 0.122 0.652 0.153 [1 per cell]
Si3 0.136 0.236 0.150 [1 per cell]
Si4 0.250 0.668 0.725 [1 per cell]
Si5 0.340 0.267 0.465 [1 per cell]
Si6 0.471 0.756 0.040 [1 per cell]
Si7 0.491 0.167 0.038 [1 per cell]
Si8 0.520 0.624 0.365 [1 per cell]
Si9 0.679 0.128 0.364 [1 per cell]
Si10 0.785 0.167 0.728 [1 per cell]
Si11 0.809 0.773 0.464 [1 per cell]
Si12 0.920 0.803 0.830 [1 per cell]

Main lines, low angle first (2θ from 15° to 90°):
- (0 0 3), 2θ = 19.52°, I = 366
- (0 2 -1), 2θ = 32.00°, I = 356
- (2 0 -1), 2θ = 33.52°, I = 1000
- (2 0 2), 2θ = 33.90°, I = 630
- (2 1 2), 2θ = 36.54°, I = 491
- (1 2 3), 2θ = 37.08°, I = 971
- (0 2 -3), 2θ = 38.66°, I = 787
- (0 0 6), 2θ = 39.63°, I = 715
- (-1 2 4), 2θ = 41.92°, I = 405
- (1 2 -3), 2θ = 42.76°, I = 397
- (2 0 -4), 2θ = 43.74°, I = 407
- (2 0 5), 2θ = 44.67°, I = 398

---

Entry 3:
Calculated powder XRD pattern of Mg for Cu Kα, from a crystal structure in the Materials Project, relaxed with GGA-PBE.
Lines closer than 0.1° are merged.

Structure:
Cell lengths 3.651, 3.651, 3.401 Å; angles 90.00, 90.00, 90.00 degrees
Space group I4/mmm (No. 139)
Unique sites:
Mg1 0.000 0.000 0.000 [2 per cell]

Main lines, low angle first (2θ from 15° to 90°):
- (1 1 0), 2θ = 34.75°, I = 556
- (1 0 1), 2θ = 36.10°, I = 1000
- (2 0 0), 2θ = 49.97°, I = 190
- (0 0 2), 2θ = 53.92°, I = 75
- (2 1 1), 2θ = 63.18°, I = 362
- (1 1 2), 2θ = 65.76°, I = 159
- (2 2 0), 2θ = 73.35°, I = 56
- (2 0 2), 2θ = 76.58°, I = 98
- (3 1 0), 2θ = 83.80°, I = 75
- (3 0 1), 2θ = 84.58°, I = 74

---

Entry 4:
Calculated powder XRD pattern of PtCl6O2 for Cu Kα, from a crystal structure in the Materials Project, relaxed with GGA-PBE.
Lines closer than 0.1° are merged.

Structure:
Cell lengths 9.188, 9.188, 9.188 Å; angles 90.00, 90.00, 90.00 degrees
Space group Fm-3m (No. 225)
Unique sites:
Pt1 0.000 0.000 0.000 [4 per cell]
Cl1 0.000 0.000 0.250 [24 per cell]
O1 0.250 0.250 0.250 [8 per cell]

Main lines, low angle first (2θ from 15° to 90°):
- (1 1 1), 2θ = 16.71°, I = 1000
- (2 0 0), 2θ = 19.32°, I = 792
- (2 2 0), 2θ = 27.46°, I = 291
- (3 1 1), 2θ = 32.32°, I = 606
- (4 0 0), 2θ = 39.22°, I = 460
- (3 3 1), 2θ = 42.91°, I = 280
- (4 2 0), 2θ = 44.08°, I = 371
- (5 1 1), 2θ = 51.70°, I = 221
- (4 4 0), 2θ = 56.67°, I = 287
- (5 3 1), 2θ = 59.52°, I = 219
- (6 0 0), 2θ = 60.45°, I = 185
- (5 5 3), 2θ = 80.25°, I = 140

---

Entry 5:
Calculated powder XRD pattern of TiPbO3 for Cu Kα, from a crystal structure in the Materials Project, relaxed with GGA-PBE.
Lines closer than 0.1° are merged.

Structure:
Cell lengths 12.728, 12.728, 3.805 Å; angles 90.00, 90.00, 90.00 degrees
Space group I4/m (No. 87)
Unique sites:
Ti1 0.032 0.357 0.000 [8 per cell]
Pb1 0.150 0.830 0.500 [8 per cell]
O1 0.029 0.396 0.500 [8 per cell]
O2 0.047 0.758 0.000 [8 per cell]
O3 0.163 0.289 0.000 [8 per cell]

Main lines, low angle first (2θ from 15° to 90°):
- (1 3 0), 2θ = 22.09°, I = 444
- (1 0 1), 2θ = 24.42°, I = 289
- (4 0 0), 2θ = 28.04°, I = 182
- (3 3 0), 2θ = 29.78°, I = 533
- (3 0 1), 2θ = 31.59°, I = 1000
- (3 2 1), 2θ = 34.66°, I = 180
- (6 0 0), 2θ = 42.62°, I = 170
- (4 3 1), 2θ = 42.74°, I = 315
- (0 0 2), 2θ = 47.81°, I = 131
- (1 6 1), 2θ = 49.73°, I = 126
- (3 6 1), 2θ = 54.01°, I = 342
- (3 3 2), 2θ = 57.35°, I = 172